Record 1
This entry pairs a crystal structure of GdLu2Ni4Ge4 with its simulated powder diffractogram. Radiation: Cu Kα (weighted mean of Kα1 and Kα2). Structure: DFT lattice parameters and positions (PBE).
Neutral-atom scattering factors, no anomalous dispersion.

Top 10 peaks for 15° ≤ 2θ ≤ 90°, in order of falling intensity:
| 2θ (°) | intensity | hkl |
| --- | --- | --- |
| 37.39 | 100 | 1 1 4 |
| 35.28 | 98 | 1 2 1 |
| 44.93 | 36 | 2 0 0 |
| 36.14 | 30 | 0 1 5 |
| 45.08 | 29 | 0 3 3 |
| 40.50 | 19 | 0 0 6 |
| 65.54 | 19 | 2 3 3 |
| 80.19 | 15 | 1 5 4 |
| 26.36 | 15 | 0 2 0 |
| 58.97 | 15 | 2 1 5 |

Crystal structure
```
data_GdLu2Ni4Ge4
_chemical_formula_sum 'Gd2 Lu4 Ni8 Ge8'
_cell_length_a 4.035
_cell_length_b 6.761
_cell_length_c 13.362
_cell_angle_alpha 90.00
_cell_angle_beta 90.00
_cell_angle_gamma 90.00
_symmetry_space_group_name_H-M 'I m m m'
_symmetry_Int_Tables_number 71
_symmetry_space_group_name_Hall '-I 2 2'
loop_
_atom_site_label
_atom_site_type_symbol
_atom_site_fract_x
_atom_site_fract_y
_atom_site_fract_z
_atom_site_occupancy
Gd1 Gd 0.000 0.000 0.000 1
Lu1 Lu 0.000 0.500 0.129 1
Ni1 Ni 0.000 0.303 0.322 1
Ge1 Ge 0.000 0.000 0.219 1
Ge2 Ge 0.000 0.191 0.500 1
```

***

Record 2
This entry pairs a crystal structure of GdLuZn2Ge2 with its simulated powder diffractogram. Radiation: Cu Kα (weighted mean of Kα1 and Kα2). Structure: DFT lattice parameters and positions (PBE).
Neutral-atom scattering factors, no anomalous dispersion.

Top 10 peaks for 15° ≤ 2θ ≤ 90°, in order of falling intensity:
| 2θ (°) | intensity | hkl |
| --- | --- | --- |
| 33.62 | 100 | 1 0 4 |
| 42.79 | 49 | 1 1 0 |
| 55.50 | 24 | 2 0 4 |
| 72.53 | 21 | 2 1 4 |
| 24.32 | 18 | 1 0 0 |
| 65.20 | 16 | 1 1 8 |
| 53.34 | 8 | 1 0 8 |
| 78.38 | 8 | 3 0 0 |
| 46.71 | 8 | 0 0 8 |
| 47.88 | 5 | 1 0 7 |

Crystal structure
```
data_GdLuZn2Ge2
_chemical_formula_sum 'Gd2 Lu2 Zn4 Ge4'
_cell_length_a 4.2260
_cell_length_b 4.2260
_cell_length_c 15.5585
_cell_angle_alpha 90.00
_cell_angle_beta 90.00
_cell_angle_gamma 120.00
_symmetry_space_group_name_H-M 'P 63/m m c'
_symmetry_Int_Tables_number 194
_symmetry_space_group_name_Hall '-P 6c 2c'
loop_
_atom_site_label
_atom_site_type_symbol
_atom_site_fract_x
_atom_site_fract_y
_atom_site_fract_z
_atom_site_occupancy
Gd1 Gd 0.0000 0.0000 0.0000 1
Lu1 Lu 0.0000 0.0000 0.2500 1
Zn1 Zn 0.3333 0.6667 0.1535 1
Ge1 Ge 0.3333 0.6667 0.6161 1
```

***

Record 3
This entry pairs a crystal structure of PrGdMg6Ge3 with its simulated powder diffractogram. Radiation: Cu Kα (weighted mean of Kα1 and Kα2). Structure: DFT lattice parameters and positions (PBE).
Neutral-atom scattering factors, no anomalous dispersion.

Top 10 peaks for 15° ≤ 2θ ≤ 90°, in order of falling intensity:
| 2θ (°) | intensity | hkl |
| --- | --- | --- |
| 30.09 | 100 | 1 1 1 |
| 38.07 | 33 | 3 0 0 |
| 39.58 | 31 | 2 1 1 |
| 32.69 | 29 | 2 0 1 |
| 21.71 | 26 | 1 1 0 |
| 63.91 | 20 | 4 1 1 |
| 57.87 | 19 | 3 0 2 |
| 33.43 | 19 | 2 1 0 |
| 41.87 | 17 | 0 0 2 |
| 49.27 | 17 | 2 2 1 |

Crystal structure
```
data_PrGdMg6Ge3
_chemical_formula_sum 'Pr1 Gd1 Mg6 Ge3'
_cell_length_a 8.1881
_cell_length_b 8.1881
_cell_length_c 4.3150
_cell_angle_alpha 90.00
_cell_angle_beta 90.00
_cell_angle_gamma 120.00
_symmetry_space_group_name_H-M 'P -6'
_symmetry_Int_Tables_number 174
loop_
_symmetry_equiv_pos_as_xyz
'x,y,z'
'-x+y,-x,-z'
'-y,x-y,z'
'x,y,-z'
'-x+y,-x,z'
'-y,x-y,-z'
loop_
_atom_site_label
_atom_site_type_symbol
_atom_site_fract_x
_atom_site_fract_y
_atom_site_fract_z
_atom_site_occupancy
Pr1 Pr 0.0000 0.0000 0.0000 1
Gd1 Gd 0.6667 0.3333 0.0000 1
Mg1 Mg 0.0475 0.6693 0.5000 1
Mg2 Mg 0.1258 0.4629 0.0000 1
Ge1 Ge 0.3407 0.0639 0.5000 1
```

***

Record 4
This entry pairs a crystal structure of Gd2Nb3Ge4 with its simulated powder diffractogram. Radiation: Cu Kα (weighted mean of Kα1 and Kα2). Structure: DFT lattice parameters and positions (PBE).
Neutral-atom scattering factors, no anomalous dispersion.

Top 10 peaks for 15° ≤ 2θ ≤ 90°, in order of falling intensity:
| 2θ (°) | intensity | hkl |
| --- | --- | --- |
| 34.18 | 100 | 1 3 2 |
| 34.54 | 95 | 2 3 1 |
| 40.39 | 55 | 3 0 1 |
| 36.25 | 52 | 0 4 2 |
| 40.12 | 31 | 1 1 3 |
| 39.72 | 25 | 0 6 0 |
| 38.85 | 23 | 2 4 1 |
| 61.52 | 22 | 3 4 3 |
| 39.55 | 21 | 1 0 3 |
| 38.52 | 21 | 1 4 2 |

Crystal structure
```
data_Gd2Nb3Ge4
_chemical_formula_sum 'Gd8 Nb12 Ge16'
_cell_length_a 7.044
_cell_length_b 13.616
_cell_length_c 7.224
_cell_angle_alpha 90.00
_cell_angle_beta 90.00
_cell_angle_gamma 90.00
_symmetry_space_group_name_H-M 'P n m a'
_symmetry_Int_Tables_number 62
loop_
_symmetry_equiv_pos_as_xyz
'x,y,z'
'-x,-y,-z'
'-x+1/2,-y,z+1/2'
'x+1/2,y,-z+1/2'
'x+1/2,-y+1/2,-z+1/2'
'-x+1/2,y+1/2,z+1/2'
'-x,y+1/2,-z'
'x,-y+1/2,z'
loop_
_atom_site_label
_atom_site_type_symbol
_atom_site_fract_x
_atom_site_fract_y
_atom_site_fract_z
_atom_site_occupancy
Gd1 Gd 0.002 0.095 0.173 1
Nb1 Nb 0.160 0.627 0.328 1
Nb2 Nb 0.164 0.250 0.512 1
Ge1 Ge 0.039 0.250 0.877 1
Ge2 Ge 0.172 0.042 0.539 1
Ge3 Ge 0.195 0.750 0.635 1
```

***

Record 5
This entry pairs a crystal structure of PrNd2GdZn12Ge6 with its simulated powder diffractogram. Radiation: Cu Kα (weighted mean of Kα1 and Kα2). Structure: DFT lattice parameters and positions (PBE).
Neutral-atom scattering factors, no anomalous dispersion.

Top 10 peaks for 15° ≤ 2θ ≤ 90°, in order of falling intensity:
| 2θ (°) | intensity | hkl |
| --- | --- | --- |
| 32.00 | 100 | 2 1 0 |
| 42.29 | 51 | 2 1 4 |
| 40.85 | 33 | 3 0 3 |
| 44.21 | 24 | 0 2 0 |
| 35.85 | 21 | 2 0 4 |
| 68.84 | 21 | 5 1 3 |
| 61.76 | 19 | 3 2 3 |
| 52.81 | 14 | 4 1 0 |
| 34.82 | 14 | 2 1 2 |
| 49.59 | 13 | 4 0 2 |

Crystal structure
```
data_PrNd2GdZn12Ge6
_chemical_formula_sum 'Pr1 Nd2 Gd1 Zn12 Ge6'
_cell_length_a 7.652
_cell_length_b 4.097
_cell_length_c 13.256
_cell_angle_alpha 90.00
_cell_angle_beta 90.00
_cell_angle_gamma 90.00
_symmetry_space_group_name_H-M 'P 1 m 1'
_symmetry_Int_Tables_number 6
loop_
_symmetry_equiv_pos_as_xyz
'x,y,z'
'x,-y,z'
loop_
_atom_site_label
_atom_site_type_symbol
_atom_site_fract_x
_atom_site_fract_y
_atom_site_fract_z
_atom_site_occupancy
Pr1 Pr 0.000 0.000 0.000 1
Nd1 Nd 0.500 0.000 0.500 1
Nd2 Nd 0.500 0.000 0.833 1
Gd1 Gd 0.000 0.000 0.333 1
Zn1 Zn 0.094 0.000 0.572 1
Zn2 Zn 0.094 0.000 0.761 1
Zn3 Zn 0.290 0.500 0.667 1
Zn4 Zn 0.311 0.000 0.167 1
Zn5 Zn 0.355 0.500 0.022 1
Zn6 Zn 0.355 0.500 0.312 1
Zn7 Zn 0.594 0.000 0.072 1
Zn8 Zn 0.595 0.000 0.261 1
Zn9 Zn 0.790 0.500 0.167 1
Zn10 Zn 0.811 0.000 0.667 1
Zn11 Zn 0.855 0.500 0.522 1
Zn12 Zn 0.855 0.500 0.811 1
Ge1 Ge 0.119 0.500 0.167 1
Ge2 Ge 0.190 0.500 0.476 1
Ge3 Ge 0.191 0.500 0.857 1
Ge4 Ge 0.619 0.500 0.667 1
Ge5 Ge 0.690 0.500 0.976 1
Ge6 Ge 0.692 0.500 0.357 1
```

***

Record 6
This entry pairs a crystal structure of PrNd2GdZn12Ge6 with its simulated powder diffractogram. Radiation: Cu Kα (weighted mean of Kα1 and Kα2). Structure: DFT lattice parameters and positions (PBE).
Neutral-atom scattering factors, no anomalous dispersion.

Top 10 peaks for 15° ≤ 2θ ≤ 90°, in order of falling intensity:
| 2θ (°) | intensity | hkl |
| --- | --- | --- |
| 32.00 | 100 | 2 1 0 |
| 42.27 | 52 | 3 1 1 |
| 40.81 | 33 | 3 0 3 |
| 44.25 | 24 | 0 2 0 |
| 35.82 | 22 | 3 0 1 |
| 68.79 | 21 | 5 1 3 |
| 61.76 | 19 | 3 2 3 |
| 34.81 | 14 | 2 1 2 |
| 52.78 | 14 | 4 1 0 |
| 49.55 | 13 | 3 0 5 |

Crystal structure
```
data_PrNd2GdZn12Ge6
_chemical_formula_sum 'Pr1 Nd2 Gd1 Zn12 Ge6'
_cell_length_a 7.658
_cell_length_b 4.093
_cell_length_c 13.269
_cell_angle_alpha 90.00
_cell_angle_beta 90.00
_cell_angle_gamma 90.00
_symmetry_space_group_name_H-M 'P 1 m 1'
_symmetry_Int_Tables_number 6
loop_
_symmetry_equiv_pos_as_xyz
'x,y,z'
'x,-y,z'
loop_
_atom_site_label
_atom_site_type_symbol
_atom_site_fract_x
_atom_site_fract_y
_atom_site_fract_z
_atom_site_occupancy
Pr1 Pr 0.000 0.000 0.000 1
Nd1 Nd 0.000 0.000 0.334 1
Nd2 Nd 0.500 0.000 0.833 1
Gd1 Gd 0.500 0.000 0.500 1
Zn1 Zn 0.094 0.000 0.761 1
Zn2 Zn 0.096 0.000 0.572 1
Zn3 Zn 0.289 0.500 0.666 1
Zn4 Zn 0.311 0.000 0.167 1
Zn5 Zn 0.356 0.500 0.022 1
Zn6 Zn 0.356 0.500 0.312 1
Zn7 Zn 0.594 0.000 0.072 1
Zn8 Zn 0.594 0.000 0.262 1
Zn9 Zn 0.789 0.500 0.167 1
Zn10 Zn 0.810 0.000 0.666 1
Zn11 Zn 0.855 0.500 0.522 1
Zn12 Zn 0.855 0.500 0.811 1
Ge1 Ge 0.118 0.500 0.167 1
Ge2 Ge 0.191 0.500 0.857 1
Ge3 Ge 0.194 0.500 0.476 1
Ge4 Ge 0.617 0.500 0.665 1
Ge5 Ge 0.689 0.500 0.359 1
Ge6 Ge 0.690 0.500 0.975 1
```

***

Record 7
This entry pairs a crystal structure of PrNd2GdZn12Ge6 with its simulated powder diffractogram. Radiation: Cu Kα (weighted mean of Kα1 and Kα2). Structure: DFT lattice parameters and positions (PBE).
Neutral-atom scattering factors, no anomalous dispersion.

Top 10 peaks for 15° ≤ 2θ ≤ 90°, in order of falling intensity:
| 2θ (°) | intensity | hkl |
| --- | --- | --- |
| 32.04 | 100 | 2 1 0 |
| 42.31 | 53 | 3 1 1 |
| 40.84 | 32 | 3 0 3 |
| 44.32 | 24 | 0 2 0 |
| 35.84 | 22 | 3 0 1 |
| 68.84 | 21 | 4 1 6 |
| 61.83 | 19 | 3 2 3 |
| 34.85 | 15 | 2 1 2 |
| 52.82 | 14 | 4 1 0 |
| 49.58 | 13 | 3 0 5 |

Crystal structure
```
data_PrNd2GdZn12Ge6
_chemical_formula_sum 'Pr1 Nd2 Gd1 Zn12 Ge6'
_cell_length_a 7.654
_cell_length_b 4.088
_cell_length_c 13.261
_cell_angle_alpha 90.00
_cell_angle_beta 90.00
_cell_angle_gamma 90.00
_symmetry_space_group_name_H-M 'P 1 m 1'
_symmetry_Int_Tables_number 6
loop_
_symmetry_equiv_pos_as_xyz
'x,y,z'
'x,-y,z'
loop_
_atom_site_label
_atom_site_type_symbol
_atom_site_fract_x
_atom_site_fract_y
_atom_site_fract_z
_atom_site_occupancy
Pr1 Pr 0.000 0.000 0.000 1
Nd1 Nd 0.000 0.000 0.334 1
Nd2 Nd 0.500 0.000 0.501 1
Gd1 Gd 0.500 0.000 0.834 1
Zn1 Zn 0.143 0.500 0.811 1
Zn2 Zn 0.145 0.500 0.524 1
Zn3 Zn 0.190 0.000 0.669 1
Zn4 Zn 0.214 0.500 0.167 1
Zn5 Zn 0.405 0.000 0.262 1
Zn6 Zn 0.407 0.000 0.072 1
Zn7 Zn 0.644 0.500 0.023 1
Zn8 Zn 0.644 0.500 0.311 1
Zn9 Zn 0.690 0.000 0.168 1
Zn10 Zn 0.712 0.500 0.667 1
Zn11 Zn 0.903 0.000 0.762 1
Zn12 Zn 0.906 0.000 0.573 1
Ge1 Ge 0.309 0.500 0.359 1
Ge2 Ge 0.312 0.500 0.974 1
Ge3 Ge 0.384 0.500 0.670 1
Ge4 Ge 0.804 0.500 0.858 1
Ge5 Ge 0.809 0.500 0.476 1
Ge6 Ge 0.883 0.500 0.168 1
```

***

Record 8
This entry pairs a crystal structure of NdGdZn6Ge3 with its simulated powder diffractogram. Radiation: Cu Kα (weighted mean of Kα1 and Kα2). Structure: DFT lattice parameters and positions (PBE).
Neutral-atom scattering factors, no anomalous dispersion.

Top 10 peaks for 15° ≤ 2θ ≤ 90°, in order of falling intensity:
| 2θ (°) | intensity | hkl |
| --- | --- | --- |
| 32.14 | 100 | 1 3 1 |
| 42.42 | 52 | 1 5 1 |
| 40.92 | 32 | 0 6 0 |
| 44.52 | 24 | 2 0 0 |
| 35.91 | 23 | 0 5 1 |
| 69.02 | 21 | 1 9 1 |
| 62.06 | 18 | 2 6 0 |
| 34.95 | 15 | 1 2 2 |
| 52.95 | 14 | 1 6 2 |
| 49.68 | 13 | 0 7 1 |

Crystal structure
```
data_NdGdZn6Ge3
_chemical_formula_sum 'Nd2 Gd2 Zn12 Ge6'
_cell_length_a 4.070
_cell_length_b 13.236
_cell_length_c 7.639
_cell_angle_alpha 90.00
_cell_angle_beta 90.00
_cell_angle_gamma 90.00
_symmetry_space_group_name_H-M 'P m m 2'
_symmetry_Int_Tables_number 25
loop_
_symmetry_equiv_pos_as_xyz
'x,y,z'
'-x,-y,z'
'-x,y,z'
'x,-y,z'
loop_
_atom_site_label
_atom_site_type_symbol
_atom_site_fract_x
_atom_site_fract_y
_atom_site_fract_z
_atom_site_occupancy
Nd1 Nd 0.000 0.167 0.000 1
Gd1 Gd 0.000 0.334 0.499 1
Zn1 Zn 0.000 0.000 0.310 1
Zn2 Zn 0.000 0.095 0.593 1
Zn3 Zn 0.000 0.405 0.096 1
Zn4 Zn 0.000 0.500 0.809 1
Zn5 Zn 0.500 0.000 0.787 1
Zn6 Zn 0.500 0.144 0.357 1
Zn7 Zn 0.500 0.356 0.855 1
Zn8 Zn 0.500 0.500 0.288 1
Ge1 Ge 0.500 0.000 0.116 1
Ge2 Ge 0.500 0.193 0.689 1
Ge3 Ge 0.500 0.309 0.195 1
Ge4 Ge 0.500 0.500 0.614 1
```

***

Record 9
This entry pairs a crystal structure of NdGdZn6Ge3 with its simulated powder diffractogram. Radiation: Cu Kα (weighted mean of Kα1 and Kα2). Structure: DFT lattice parameters and positions (PBE).
Neutral-atom scattering factors, no anomalous dispersion.

Top 10 peaks for 15° ≤ 2θ ≤ 90°, in order of falling intensity:
| 2θ (°) | intensity | hkl |
| --- | --- | --- |
| 32.15 | 100 | 1 3 1 |
| 42.45 | 53 | 1 5 1 |
| 40.94 | 32 | 0 6 0 |
| 44.55 | 24 | 2 0 0 |
| 35.93 | 23 | 0 1 3 |
| 69.06 | 21 | 1 3 5 |
| 62.09 | 18 | 2 6 0 |
| 34.97 | 15 | 1 2 2 |
| 52.99 | 14 | 1 0 4 |
| 49.71 | 13 | 0 5 3 |

Crystal structure
```
data_NdGdZn6Ge3
_chemical_formula_sum 'Nd2 Gd2 Zn12 Ge6'
_cell_length_a 4.068
_cell_length_b 13.225
_cell_length_c 7.636
_cell_angle_alpha 90.00
_cell_angle_beta 90.00
_cell_angle_gamma 90.00
_symmetry_space_group_name_H-M 'P m c 21'
_symmetry_Int_Tables_number 26
loop_
_symmetry_equiv_pos_as_xyz
'x,y,z'
'-x,-y,z+1/2'
'-x,y,z'
'x,-y,z+1/2'
loop_
_atom_site_label
_atom_site_type_symbol
_atom_site_fract_x
_atom_site_fract_y
_atom_site_fract_z
_atom_site_occupancy
Nd1 Nd 0.000 0.084 0.000 1
Gd1 Gd 0.000 0.417 0.000 1
Zn1 Zn 0.000 0.156 0.406 1
Zn2 Zn 0.000 0.252 0.690 1
Zn3 Zn 0.000 0.346 0.404 1
Zn4 Zn 0.500 0.107 0.644 1
Zn5 Zn 0.500 0.251 0.214 1
Zn6 Zn 0.500 0.394 0.642 1
Ge1 Ge 0.500 0.058 0.308 1
Ge2 Ge 0.500 0.253 0.886 1
Ge3 Ge 0.500 0.444 0.306 1
```

***

Record 10
This entry pairs a crystal structure of Nd3GdZn12Ge6 with its simulated powder diffractogram. Radiation: Cu Kα (weighted mean of Kα1 and Kα2). Structure: DFT lattice parameters and positions (PBE).
Neutral-atom scattering factors, no anomalous dispersion.

Top 10 peaks for 15° ≤ 2θ ≤ 90°, in order of falling intensity:
| 2θ (°) | intensity | hkl |
| --- | --- | --- |
| 32.07 | 100 | 2 1 0 |
| 42.35 | 53 | 2 1 4 |
| 40.86 | 32 | 3 0 3 |
| 44.39 | 24 | 0 2 0 |
| 35.86 | 23 | 2 0 4 |
| 68.90 | 21 | 5 1 3 |
| 61.91 | 18 | 3 2 3 |
| 34.88 | 15 | 2 1 2 |
| 52.87 | 14 | 4 1 0 |
| 49.61 | 13 | 3 0 -5 |

Crystal structure
```
data_Nd3GdZn12Ge6
_chemical_formula_sum 'Nd3 Gd1 Zn12 Ge6'
_cell_length_a 7.649
_cell_length_b 4.082
_cell_length_c 13.253
_cell_angle_alpha 90.00
_cell_angle_beta 90.00
_cell_angle_gamma 90.00
_symmetry_space_group_name_H-M 'P 1 m 1'
_symmetry_Int_Tables_number 6
loop_
_symmetry_equiv_pos_as_xyz
'x,y,z'
'x,-y,z'
loop_
_atom_site_label
_atom_site_type_symbol
_atom_site_fract_x
_atom_site_fract_y
_atom_site_fract_z
_atom_site_occupancy
Nd1 Nd 0.000 0.000 0.000 1
Nd2 Nd 0.000 0.000 0.334 1
Nd3 Nd 0.500 0.000 0.501 1
Gd1 Gd 0.500 0.000 0.834 1
Zn1 Zn 0.094 0.000 0.573 1
Zn2 Zn 0.096 0.000 0.762 1
Zn3 Zn 0.288 0.500 0.668 1
Zn4 Zn 0.310 0.000 0.167 1
Zn5 Zn 0.356 0.500 0.311 1
Zn6 Zn 0.357 0.500 0.023 1
Zn7 Zn 0.594 0.000 0.071 1
Zn8 Zn 0.594 0.000 0.262 1
Zn9 Zn 0.787 0.500 0.167 1
Zn10 Zn 0.810 0.000 0.668 1
Zn11 Zn 0.856 0.500 0.524 1
Zn12 Zn 0.856 0.500 0.811 1
Ge1 Ge 0.116 0.500 0.167 1
Ge2 Ge 0.191 0.500 0.475 1
Ge3 Ge 0.195 0.500 0.858 1
Ge4 Ge 0.615 0.500 0.669 1
Ge5 Ge 0.689 0.500 0.974 1
Ge6 Ge 0.691 0.500 0.359 1
```

***

Record 11
This entry pairs a crystal structure of GdNi2Ge with its simulated powder diffractogram. Radiation: Cu Kα (weighted mean of Kα1 and Kα2). Structure: DFT lattice parameters and positions (PBE).
Neutral-atom scattering factors, no anomalous dispersion.

Top 10 peaks for 15° ≤ 2θ ≤ 90°, in order of falling intensity:
| 2θ (°) | intensity | hkl |
| --- | --- | --- |
| 42.52 | 100 | 1 1 2 |
| 37.68 | 75 | 1 2 0 |
| 31.29 | 67 | 1 1 1 |
| 35.99 | 56 | 0 1 2 |
| 34.48 | 52 | 0 2 1 |
| 44.64 | 46 | 2 0 0 |
| 27.29 | 29 | 1 0 1 |
| 58.62 | 27 | 2 1 2 |
| 57.59 | 26 | 2 2 1 |
| 41.22 | 24 | 1 2 1 |

Crystal structure
```
data_GdNi2Ge
_chemical_formula_sum 'Gd2 Ni4 Ge2'
_cell_length_a 4.060
_cell_length_b 5.903
_cell_length_c 5.508
_cell_angle_alpha 90.00
_cell_angle_beta 90.00
_cell_angle_gamma 90.00
_symmetry_space_group_name_H-M 'P m n 21'
_symmetry_Int_Tables_number 31
loop_
_symmetry_equiv_pos_as_xyz
'x,y,z'
'-x+1/2,-y,z+1/2'
'-x,y,z'
'x+1/2,-y,z+1/2'
loop_
_atom_site_label
_atom_site_type_symbol
_atom_site_fract_x
_atom_site_fract_y
_atom_site_fract_z
_atom_site_occupancy
Gd1 Gd 0.000 0.096 0.000 1
Ni1 Ni 0.000 0.288 0.490 1
Ni2 Ni 0.000 0.638 0.744 1
Ge1 Ge 0.000 0.615 0.214 1
```